# 1
The following is a computed X-ray diffraction stick pattern of RuPtSe. It was derived from DFT lattice parameters and positions (PBE), using Cu Kα X-rays.

abc: 3.0802 3.0802 12.3918
angles: 90.00 90.00 120.00
Space group P-6m2 (No. 187)
Inequivalent atoms, fractional coordinates:
Ru  0.0000  0.0000  0.1728 x2
Pt  0.6667  0.3333  0.0000 x1
Pt  0.6667  0.3333  0.5000 x1
Se  0.6667  0.3333  0.3035 x2

The 8 most intense peaks (2θ = 10–90°), low angle first:
- 2θ 33.60, rel. 100
- 2θ 36.68, rel. 78
- 2θ 40.25, rel. 47
- 2θ 43.84, rel. 30
- 2θ 44.84, rel. 85
- 2θ 56.34, rel. 32
- 2θ 60.08, rel. 47
- 2θ 77.28, rel. 34

***

# 2
The following is a computed X-ray diffraction stick pattern of Nd6Pd2O. It was derived from DFT lattice parameters and positions (PBE), using Cu Kα X-rays.

abc: 6.617 7.268 12.018
angles: 90.00 122.88 90.00
Space group P2_1/c (No. 14)
Inequivalent atoms, fractional coordinates:
Nd  0.108  0.028  0.241 x4
Nd  0.228  0.689  0.060 x4
Nd  0.379  0.175  0.059 x4
Pd  0.313  0.108  0.749 x4
O  0.000  0.000  0.000 x2

The 8 most intense peaks (2θ = 10–90°), low angle first:
- 2θ 29.40, rel. 59
- 2θ 29.68, rel. 100
- 2θ 29.90, rel. 50
- 2θ 30.31, rel. 97
- 2θ 30.92, rel. 60
- 2θ 31.07, rel. 65
- 2θ 32.20, rel. 48
- 2θ 32.43, rel. 52

***

# 3
The following is a computed X-ray diffraction stick pattern of Sr3Cd6In5. It was derived from DFT lattice parameters and positions (PBE), using Cu Kα X-rays.

abc: 4.963 14.395 10.766
angles: 90.00 90.00 90.00
Space group Pmmn (No. 59, origin choice 2)
Inequivalent atoms, fractional coordinates:
Sr  0.250  0.049  0.248 x4
Sr  0.250  0.750  0.248 x2
Cd  0.250  0.093  0.614 x4
Cd  0.250  0.250  0.059 x2
Cd  0.250  0.250  0.436 x2
Cd  0.250  0.606  0.973 x4
In  0.250  0.091  0.883 x4
In  0.250  0.609  0.530 x4
In  0.250  0.750  0.756 x2

The 8 most intense peaks (2θ = 10–90°), low angle first:
- 2θ 30.78, rel. 100
- 2θ 33.23, rel. 34
- 2θ 36.20, rel. 44
- 2θ 37.49, rel. 24
- 2θ 38.56, rel. 23
- 2θ 39.86, rel. 29
- 2θ 53.10, rel. 19
- 2θ 59.56, rel. 18